Computed powder X-ray diffraction pattern
Compound: Er2AgWC3
Radiation: Cu Kα
Structure: a structure optimized by DFT (GGA-PBE)

Peak list (6 most intense, 10 to 90 degrees two-theta, sorted by position)
d/Å, Position (°2θ), intensity, index
2.818, 31.75, 44, 2 0 -2
2.718, 32.95, 37, 4 0 0
2.655, 33.76, 100, 1 1 1
2.511, 35.75, 82, 3 1 -1
2.095, 43.17, 39, 2 0 2
1.589, 58.06, 22, 6 0 -3

Cell and atoms:
a = 11.685 Å, b = 3.432 Å, c = 5.683 Å
α = 90.00°, β = 111.49°, γ = 90.00°
Space group Cm (No. 8)
Unique sites:
Er 0.000 0.000 0.000 (multiplicity 2)
Er 0.221 0.000 0.691 (multiplicity 2)
Ag 0.243 0.500 0.160 (multiplicity 2)
W 0.438 0.000 0.487 (multiplicity 2)
C 0.093 0.500 0.789 (multiplicity 2)
C 0.353 0.500 0.574 (multiplicity 2)
C 0.389 0.000 0.112 (multiplicity 2)

=====

Computed powder X-ray diffraction pattern
Compound: TbTmNO
Radiation: Cu Kα
Structure: a structure optimized by DFT (GGA-PBE)

Peak list (6 most intense, 10 to 90 degrees two-theta, sorted by position)
d/Å, Position (°2θ), intensity, index
3.416, 26.08, 42, 0 1 1
2.792, 32.05, 100, 1 1 1
2.424, 37.10, 22, 2 0 0
1.975, 45.96, 41, 0 1 3
1.611, 57.18, 20, 1 0 4
1.530, 60.52, 31, 2 2 0

Cell and atoms:
a = 4.847 Å, b = 3.940 Å, c = 6.840 Å
α = 90.00°, β = 90.00°, γ = 90.00°
Space group Pmma (No. 51)
Unique sites:
Tb 0.250 0.000 0.165 (multiplicity 2)
Tm 0.250 0.500 0.669 (multiplicity 2)
N 0.250 0.000 0.828 (multiplicity 2)
O 0.250 0.500 0.340 (multiplicity 2)

=====

Computed powder X-ray diffraction pattern
Compound: Ho2TlCuPd
Radiation: Cu Kα
Structure: a structure optimized by DFT (GGA-PBE)

Peak list (6 most intense, 10 to 90 degrees two-theta, sorted by position)
d/Å, Position (°2θ), intensity, index
3.158, 28.26, 35, 0 1 3
2.697, 33.22, 100, 1 1 1
2.585, 34.70, 63, 1 0 4
2.389, 37.65, 59, 0 1 5
2.074, 43.64, 26, 0 2 0
1.618, 56.92, 31, 1 2 4

Cell and atoms:
a = 3.659 Å, b = 4.148 Å, c = 14.609 Å
α = 90.00°, β = 90.00°, γ = 90.00°
Space group Amm2 (No. 38)
Unique sites:
Ho 0.000 0.000 0.000 (multiplicity 2)
Ho 0.000 0.000 0.269 (multiplicity 2)
Tl 0.500 0.000 0.633 (multiplicity 2)
Cu 0.500 0.000 0.440 (multiplicity 2)
Pd 0.500 0.000 0.834 (multiplicity 2)

=====

Computed powder X-ray diffraction pattern
Compound: Zr2B
Radiation: Cu Kα
Structure: a structure optimized by DFT (GGA-PBE)

Peak list (6 most intense, 10 to 90 degrees two-theta, sorted by position)
d/Å, Position (°2θ), intensity, index
2.895, 30.89, 41, 1 1 1
2.681, 33.42, 43, 0 4 0
2.622, 34.19, 100, 1 2 1
2.548, 35.22, 45, 0 2 2
2.301, 39.15, 25, 1 3 1
1.693, 54.19, 24, 1 0 3

Cell and atoms:
a = 3.518 Å, b = 10.724 Å, c = 5.792 Å
α = 90.00°, β = 90.00°, γ = 90.00°
Space group Pmmn (No. 59, origin choice 2)
Unique sites:
Zr 0.250 0.006 0.248 (multiplicity 4)
Zr 0.250 0.250 0.905 (multiplicity 2)
Zr 0.250 0.750 0.572 (multiplicity 2)
B 0.250 0.633 0.916 (multiplicity 4)

=====

Computed powder X-ray diffraction pattern
Compound: ZnTePbO
Radiation: Cu Kα
Structure: a structure optimized by DFT (GGA-PBE)

Peak list (6 most intense, 10 to 90 degrees two-theta, sorted by position)
d/Å, Position (°2θ), intensity, index
4.339, 20.47, 47, 0 0 1
3.517, 25.32, 100, 2 4 0
2.732, 32.78, 85, 2 4 1
2.407, 37.36, 27, 0 8 0
2.169, 41.63, 24, 0 0 2
1.846, 49.36, 33, 2 4 2

Cell and atoms:
a = 10.300 Å, b = 19.258 Å, c = 4.339 Å
α = 90.00°, β = 90.00°, γ = 90.00°
Space group Pbam (No. 55)
Unique sites:
Zn 0.087 0.121 0.000 (multiplicity 4)
Zn 0.139 0.626 0.000 (multiplicity 4)
Te 0.005 0.380 0.500 (multiplicity 4)
Te 0.055 0.868 0.500 (multiplicity 4)
Pb 0.210 0.252 0.500 (multiplicity 4)
Pb 0.242 0.496 0.500 (multiplicity 4)
O 0.223 0.198 0.000 (multiplicity 4)
O 0.226 0.049 0.000 (multiplicity 4)

=====

Computed powder X-ray diffraction pattern
Compound: DyErGa2Ir4
Radiation: Cu Kα
Structure: a structure optimized by DFT (GGA-PBE)

Peak list (6 most intense, 10 to 90 degrees two-theta, sorted by position)
d/Å, Position (°2θ), intensity, index
3.734, 23.83, 5, 1 0 1
3.234, 27.58, 7, 1 1 0
2.287, 39.41, 100, 2 0 0
1.617, 56.95, 17, 2 2 0
1.320, 71.46, 35, 3 1 2
1.143, 84.80, 11, 4 0 0

Cell and atoms:
a = 4.573 Å, b = 4.573 Å, c = 6.469 Å
α = 90.00°, β = 90.00°, γ = 90.00°
Space group P4/mmm (No. 123)
Unique sites:
Dy 0.000 0.000 0.000 (multiplicity 1)
Er 0.500 0.500 0.500 (multiplicity 1)
Ga 0.000 0.000 0.500 (multiplicity 1)
Ga 0.500 0.500 0.000 (multiplicity 1)
Ir 0.000 0.500 0.251 (multiplicity 4)

=====

Computed powder X-ray diffraction pattern
Compound: HoSiNiGe2
Radiation: Cu Kα
Structure: a structure optimized by DFT (GGA-PBE)

Peak list (6 most intense, 10 to 90 degrees two-theta, sorted by position)
d/Å, Position (°2θ), intensity, index
2.694, 33.26, 31, 0 6 1
2.651, 33.82, 100, 1 3 1
2.052, 44.14, 18, 1 9 0
2.040, 44.41, 23, 0 0 2
1.995, 45.47, 22, 2 0 0
1.267, 74.93, 16, 1 3 3

Cell and atoms:
a = 3.990 Å, b = 21.530 Å, c = 4.079 Å
α = 90.00°, β = 90.00°, γ = 90.00°
Space group Cmmm (No. 65)
Unique sites:
Ho 0.000 0.168 0.000 (multiplicity 4)
Si 0.000 0.056 0.500 (multiplicity 4)
Ni 0.000 0.391 0.500 (multiplicity 4)
Ge 0.000 0.284 0.500 (multiplicity 4)
Ge 0.000 0.443 0.000 (multiplicity 4)

=====

Computed powder X-ray diffraction pattern
Compound: Nd3Sn5Pb2
Radiation: Cu Kα
Structure: a structure optimized by DFT (GGA-PBE)

Peak list (6 most intense, 10 to 90 degrees two-theta, sorted by position)
d/Å, Position (°2θ), intensity, index
2.789, 32.09, 100, 1 5 1
2.604, 34.45, 17, 0 10 0
2.377, 37.85, 17, 0 0 2
2.296, 39.23, 15, 2 0 0
1.440, 64.75, 14, 1 5 3
1.403, 66.65, 13, 3 5 1

Cell and atoms:
a = 4.593 Å, b = 26.035 Å, c = 4.754 Å
α = 90.00°, β = 90.00°, γ = 90.00°
Space group Cmmm (No. 65)
Unique sites:
Nd 0.000 0.000 0.000 (multiplicity 2)
Nd 0.000 0.187 0.000 (multiplicity 4)
Sn 0.000 0.290 0.500 (multiplicity 4)
Sn 0.000 0.405 0.000 (multiplicity 4)
Sn 0.000 0.500 0.500 (multiplicity 2)
Pb 0.000 0.097 0.500 (multiplicity 4)

=====

Computed powder X-ray diffraction pattern
Compound: TbNdSbCl2
Radiation: Cu Kα
Structure: a structure optimized by DFT (GGA-PBE)

Peak list (6 most intense, 10 to 90 degrees two-theta, sorted by position)
d/Å, Position (°2θ), intensity, index
3.474, 25.64, 38, 1 0 1
3.025, 29.53, 100, 1 0 2
2.555, 35.13, 29, 1 0 3
2.158, 41.87, 38, 0 1 4
2.121, 42.62, 36, 1 1 0
1.737, 52.70, 19, 0 2 2

Cell and atoms:
a = 4.2427 Å, b = 4.2427 Å, c = 10.6619 Å
α = 90.00°, β = 90.00°, γ = 120.00°
Space group P3m1 (No. 156)
Unique sites:
Tb 0.0000 0.0000 0.0000 (multiplicity 1)
Nd 0.3333 0.6667 0.3383 (multiplicity 1)
Sb 0.6667 0.3333 0.1627 (multiplicity 1)
Cl 0.0000 0.0000 0.4878 (multiplicity 1)
Cl 0.3333 0.6667 0.8592 (multiplicity 1)

=====

Computed powder X-ray diffraction pattern
Compound: ReMoBr6Cl4
Radiation: Cu Kα
Structure: a structure optimized by DFT (GGA-PBE)

Peak list (6 most intense, 10 to 90 degrees two-theta, sorted by position)
d/Å, Position (°2θ), intensity, index
6.027, 14.70, 97, 0 1 -1
5.540, 16.00, 100, 1 -1 0
5.087, 17.43, 88, 1 -1 1
2.915, 30.67, 85, 1 1 1
2.883, 31.01, 85, 1 0 -3
2.773, 32.28, 75, 2 -2 1

Cell and atoms:
a = 6.438 Å, b = 6.954 Å, c = 9.624 Å
α = 108.20°, β = 91.72°, γ = 114.40°
Space group P1 (No. 1)
Unique sites:
Re 0.000 0.000 0.000 (multiplicity 1)
Mo 0.796 0.579 0.572 (multiplicity 1)
Br 0.146 0.982 0.748 (multiplicity 1)
Br 0.334 0.360 0.125 (multiplicity 1)
Br 0.459 0.221 0.452 (multiplicity 1)
Br 0.657 0.612 0.838 (multiplicity 1)
Br 0.829 0.979 0.219 (multiplicity 1)
Br 0.973 0.608 0.357 (multiplicity 1)
Cl 0.012 0.424 0.645 (multiplicity 1)
Cl 0.196 0.801 0.031 (multiplicity 1)
Cl 0.607 0.788 0.551 (multiplicity 1)
Cl 0.788 0.167 0.938 (multiplicity 1)

=====

Computed powder X-ray diffraction pattern
Compound: NbTl3F6
Radiation: Cu Kα
Structure: a structure optimized by DFT (GGA-PBE)

Peak list (6 most intense, 10 to 90 degrees two-theta, sorted by position)
d/Å, Position (°2θ), intensity, index
3.192, 27.95, 100, 2 2 0
2.257, 39.95, 29, 4 0 0
1.843, 49.46, 42, 4 2 2
1.596, 57.77, 19, 4 4 0
1.427, 65.38, 20, 6 2 0
1.206, 79.44, 23, 6 4 2

Cell and atoms:
a = 9.028 Å, b = 9.028 Å, c = 9.028 Å
α = 90.00°, β = 90.00°, γ = 90.00°
Space group Fm-3m (No. 225)
Unique sites:
Nb 0.000 0.000 0.000 (multiplicity 4)
Tl 0.000 0.000 0.500 (multiplicity 4)
Tl 0.250 0.250 0.250 (multiplicity 8)
F 0.000 0.000 0.225 (multiplicity 24)

=====

Computed powder X-ray diffraction pattern
Compound: Ho3ReO7
Radiation: Cu Kα
Structure: a structure optimized by DFT (GGA-PBE)

Peak list (6 most intense, 10 to 90 degrees two-theta, sorted by position)
d/Å, Position (°2θ), intensity, index
3.017, 29.61, 100, 2 2 0
3.001, 29.77, 99, 0 2 2
2.608, 34.38, 49, 2 0 2
1.841, 49.50, 55, 2 4 2
1.576, 58.58, 24, 4 2 2
1.569, 58.86, 53, 2 2 4

Cell and atoms:
a = 7.407 Å, b = 10.401 Å, c = 7.348 Å
α = 90.00°, β = 90.00°, γ = 90.00°
Space group C222_1 (No. 20)
Unique sites:
Ho 0.027 0.000 0.000 (multiplicity 4)
Ho 0.233 0.268 0.757 (multiplicity 8)
Re 0.001 0.500 0.000 (multiplicity 4)
O 0.000 0.130 0.250 (multiplicity 4)
O 0.000 0.137 0.750 (multiplicity 4)
O 0.000 0.427 0.750 (multiplicity 4)
O 0.188 0.373 0.038 (multiplicity 8)
O 0.205 0.377 0.475 (multiplicity 8)

=====

Computed powder X-ray diffraction pattern
Compound: LiNdGe
Radiation: Cu Kα
Structure: a structure optimized by DFT (GGA-PBE)

Peak list (6 most intense, 10 to 90 degrees two-theta, sorted by position)
d/Å, Position (°2θ), intensity, index
4.376, 20.30, 36, 0 0 1
3.635, 24.49, 37, 1 1 0
3.148, 28.35, 37, 2 0 0
2.796, 32.01, 78, 1 1 1
2.555, 35.12, 100, 2 0 1
1.622, 56.77, 29, 3 1 1

Cell and atoms:
a = 7.2697 Å, b = 7.2697 Å, c = 4.3756 Å
α = 90.00°, β = 90.00°, γ = 120.00°
Space group P-62m (No. 189)
Unique sites:
Li 0.0000 0.2311 0.0000 (multiplicity 3)
Nd 0.0000 0.5777 0.5000 (multiplicity 3)
Ge 0.0000 0.0000 0.5000 (multiplicity 1)
Ge 0.3333 0.6667 0.0000 (multiplicity 2)